Simulated powder diffractogram of Li4MnOF5 for copper Kα, from the PBE+U geometry in Alexandria.
No peak broadening, texture or thermal motion is included.

Cell and atoms:
```
data_Li4MnOF5
_chemical_formula_sum 'Li8 Mn2 O2 F10'
_cell_length_a 10.005
_cell_length_b 3.802
_cell_length_c 6.375
_cell_angle_alpha 90.00
_cell_angle_beta 112.60
_cell_angle_gamma 90.00
_space_group_name_H-M_alt 'C 1 2/m 1'
_space_group_IT_number 12
loop_
_space_group_symop_operation_xyz
'x,y,z'
'-x,-y,-z'
'-x,y,-z'
'x,-y,z'
'x+1/2,y+1/2,z'
'-x+1/2,-y+1/2,-z'
'-x+1/2,y+1/2,-z'
'x+1/2,-y+1/2,z'
loop_
_atom_site_label
_atom_site_type_symbol
_atom_site_fract_x
_atom_site_fract_y
_atom_site_fract_z
_atom_site_occupancy
Li1 Li 0.144 0.000 0.376 1
Li2 Li 0.156 0.000 0.802 1
Mn1 Mn 0.000 0.500 0.000 1
O1 O 0.000 0.000 0.000 1
F1 F 0.000 0.000 0.500 1
F2 F 0.150 0.500 0.876 1
F3 F 0.188 0.500 0.326 1
```

Main lines, by angle (2θ from 10° to 90°):
| Position (°2θ) | I_rel | (hkl) |
| --- | --- | --- |
| 15.05 | 100 | 0 0 1 |
| 19.22 | 34 | 2 0 0 |
| 19.34 | 47 | 2 0 -1 |
| 25.33 | 33 | 1 1 0 |
| 27.59 | 91 | 1 1 -1 |
| 39.26 | 61 | 4 0 -2 |
| 42.29 | 64 | 2 0 2 |
| 47.87 | 54 | 0 2 0 |